Theoretical powder diffractogram of Pr3Ta2N6 for copper Kα, from the PBE geometry in the Materials Project.
No peak broadening, texture or thermal motion is included.

Structural model:
Cell: 10.4338 10.4338 10.4338 Å, 157.53 157.53 31.99°
Sites, in units of the cell vectors:
Pr 0.0000 0.0000 0.0000
Pr 0.1805 0.1805 0.0000
Pr 0.8195 0.8195 0.0000
Ta 0.3996 0.3996 0.0000
Ta 0.6004 0.6004 0.0000
N 0.0847 0.5847 0.5000
N 0.3019 0.3019 0.0000
N 0.4153 0.9153 0.5000
N 0.5847 0.0847 0.5000
N 0.6981 0.6981 0.0000
N 0.9153 0.4153 0.5000

Top 10 peaks for 10° ≤ 2θ ≤ 90°, sorted by position:
| Position (°2θ) | I_rel |
| --- | --- |
| 17.7 | 10 |
| 31.1 | 59 |
| 31.3 | 100 |
| 44.6 | 28 |
| 55.5 | 41 |
| 55.9 | 14 |
| 64.9 | 9 |
| 65.4 | 10 |
| 73.7 | 10 |
| 73.8 | 9 |



Theoretical powder diffractogram of Pr4Te3N2 for copper Kα, from the PBE geometry in the Materials Project.
No peak broadening, texture or thermal motion is included.

Structural model:
Cell: 7.4747 11.8507 11.5286 Å, 90.00 90.00 90.00°
Sites, in units of the cell vectors:
Pr 0.0902 0.2500 0.1595
Pr 0.1457 0.0500 0.8902
Pr 0.1457 0.4500 0.8902
Pr 0.2280 0.2500 0.5310
Pr 0.2720 0.7500 0.0310
Pr 0.3543 0.5500 0.3902
Pr 0.3543 0.9500 0.3902
Pr 0.4098 0.7500 0.6595
Pr 0.5902 0.2500 0.3405
Pr 0.6457 0.0500 0.6098
Pr 0.6457 0.4500 0.6098
Pr 0.7280 0.2500 0.9690
Pr 0.7720 0.7500 0.4690
Pr 0.8543 0.5500 0.1098
Pr 0.8543 0.9500 0.1098
Pr 0.9098 0.7500 0.8405
Te 0.0661 0.5787 0.6354
Te 0.0661 0.9213 0.6354
Te 0.0824 0.7500 0.2729
Te 0.4176 0.2500 0.7729
Te 0.4339 0.0787 0.1354
Te 0.4339 0.4213 0.1354
Te 0.5661 0.5787 0.8646
Te 0.5661 0.9213 0.8646
Te 0.5824 0.7500 0.2271
Te 0.9176 0.2500 0.7271
Te 0.9339 0.0787 0.3646
Te 0.9339 0.4213 0.3646
N 0.0536 0.6219 0.9671
N 0.0536 0.8781 0.9671
N 0.4464 0.1219 0.4671
N 0.4464 0.3781 0.4671
N 0.5536 0.6219 0.5329
N 0.5536 0.8781 0.5329
N 0.9464 0.1219 0.0329
N 0.9464 0.3781 0.0329

Top 10 peaks for 10° ≤ 2θ ≤ 90°, sorted by position:
| Position (°2θ) | I_rel |
| --- | --- |
| 24.6 | 34 |
| 26.7 | 44 |
| 27.2 | 45 |
| 29.3 | 76 |
| 29.9 | 100 |
| 30.2 | 20 |
| 33.4 | 34 |
| 34.6 | 29 |
| 37.7 | 20 |
| 46.0 | 20 |



What did the second record say?
Theoretical powder diffractogram of Pr4Te3N2 for copper Kα, from the PBE geometry in the Materials Project.
No peak broadening, texture or thermal motion is included.

Structural model:
Cell: 7.4747 11.8507 11.5286 Å, 90.00 90.00 90.00°
Sites, in units of the cell vectors:
Pr 0.0902 0.2500 0.1595
Pr 0.1457 0.0500 0.8902
Pr 0.1457 0.4500 0.8902
Pr 0.2280 0.2500 0.5310
Pr 0.2720 0.7500 0.0310
Pr 0.3543 0.5500 0.3902
Pr 0.3543 0.9500 0.3902
Pr 0.4098 0.7500 0.6595
Pr 0.5902 0.2500 0.3405
Pr 0.6457 0.0500 0.6098
Pr 0.6457 0.4500 0.6098
Pr 0.7280 0.2500 0.9690
Pr 0.7720 0.7500 0.4690
Pr 0.8543 0.5500 0.1098
Pr 0.8543 0.9500 0.1098
Pr 0.9098 0.7500 0.8405
Te 0.0661 0.5787 0.6354
Te 0.0661 0.9213 0.6354
Te 0.0824 0.7500 0.2729
Te 0.4176 0.2500 0.7729
Te 0.4339 0.0787 0.1354
Te 0.4339 0.4213 0.1354
Te 0.5661 0.5787 0.8646
Te 0.5661 0.9213 0.8646
Te 0.5824 0.7500 0.2271
Te 0.9176 0.2500 0.7271
Te 0.9339 0.0787 0.3646
Te 0.9339 0.4213 0.3646
N 0.0536 0.6219 0.9671
N 0.0536 0.8781 0.9671
N 0.4464 0.1219 0.4671
N 0.4464 0.3781 0.4671
N 0.5536 0.6219 0.5329
N 0.5536 0.8781 0.5329
N 0.9464 0.1219 0.0329
N 0.9464 0.3781 0.0329

Top 10 peaks for 10° ≤ 2θ ≤ 90°, sorted by position:
| Position (°2θ) | I_rel |
| --- | --- |
| 24.6 | 34 |
| 26.7 | 44 |
| 27.2 | 45 |
| 29.3 | 76 |
| 29.9 | 100 |
| 30.2 | 20 |
| 33.4 | 34 |
| 34.6 | 29 |
| 37.7 | 20 |
| 46.0 | 20 |



> What is the formula in the second record?

Pr4Te3N2



> Which formula does entry 2 have?

Pr4Te3N2